Diffraction record for SrCd2Pb6. The XRD peak list is theoretical, not measured: it uses a structure optimized by DFT (GGA-PBE) and copper Kα.

Crystal structure
```
data_SrCd2Pb6
_chemical_formula_sum 'Sr1 Cd2 Pb6'
_cell_length_a 6.4424
_cell_length_b 6.4424
_cell_length_c 10.2172
_cell_angle_alpha 116.22
_cell_angle_beta 116.22
_cell_angle_gamma 48.00
_space_group_name_H-M_alt 'P 1'
_space_group_IT_number 1
loop_
_space_group_symop_operation_xyz
'x,y,z'
loop_
_atom_site_label
_atom_site_fract_x
_atom_site_fract_y
_atom_site_fract_z
_atom_site_occupancy
Sr1 0.0000 0.0000 0.0000 1
Cd1 0.3320 0.3320 0.7605 1
Cd2 0.6680 0.6680 0.2395 1
Pb1 0.0008 0.0008 0.3430 1
Pb2 0.3239 0.3239 0.4272 1
Pb3 0.3397 0.3397 0.0963 1
Pb4 0.6603 0.6603 0.9037 1
Pb5 0.6761 0.6761 0.5728 1
Pb6 0.9992 0.9992 0.6570 1
```

Top 10 peaks for 5 to 70 degrees two-theta, by angle:
2θ = 31.1°, d 2.872, intensity 1000
2θ = 31.9°, d 2.807, intensity 887
2θ = 33.2°, d 2.699, intensity 398
2θ = 34.2°, d 2.620, intensity 395
2θ = 41.7°, d 2.166, intensity 211
2θ = 48.4°, d 1.880, intensity 280
2θ = 55.0°, d 1.669, intensity 189
2θ = 57.6°, d 1.601, intensity 166
2θ = 59.4°, d 1.557, intensity 163
2θ = 59.8°, d 1.546, intensity 150



Diffraction record for PmYCu4. The XRD peak list is theoretical, not measured: it uses a structure optimized by DFT (GGA-PBE) and copper Kα.

Crystal structure
```
data_PmYCu4
_chemical_formula_sum 'Pm2 Y2 Cu8'
_cell_length_a 4.3213
_cell_length_b 6.9728
_cell_length_c 7.3852
_cell_angle_alpha 90.00
_cell_angle_beta 90.00
_cell_angle_gamma 90.00
_space_group_name_H-M_alt 'P 1'
_space_group_IT_number 1
loop_
_space_group_symop_operation_xyz
'x,y,z'
loop_
_atom_site_label
_atom_site_fract_x
_atom_site_fract_y
_atom_site_fract_z
_atom_site_occupancy
Pm1 0.0000 0.0000 0.0000 1
Pm2 0.5000 0.5000 0.5000 1
Y1 0.0000 0.5000 0.0843 1
Y2 0.5000 0.0000 0.5843 1
Cu1 0.0000 0.1963 0.3798 1
Cu2 0.0000 0.3004 0.7095 1
Cu3 0.0000 0.6996 0.7095 1
Cu4 0.0000 0.8037 0.3798 1
Cu5 0.5000 0.1996 0.2095 1
Cu6 0.5000 0.3037 0.8798 1
Cu7 0.5000 0.6963 0.8798 1
Cu8 0.5000 0.8004 0.2095 1
```

Top 10 peaks for 5 to 70 degrees two-theta, by angle:
2θ = 34.4°, d 2.604, intensity 381
2θ = 35.2°, d 2.547, intensity 1000
2θ = 35.4°, d 2.535, intensity 411
2θ = 40.7°, d 2.217, intensity 204
2θ = 41.8°, d 2.161, intensity 350
2θ = 42.3°, d 2.139, intensity 505
2θ = 55.9°, d 1.644, intensity 214
2θ = 58.4°, d 1.580, intensity 133
2θ = 59.8°, d 1.547, intensity 124
2θ = 68.4°, d 1.371, intensity 204